Starting from a DFT-relaxed cell (GGA+U, the Materials Project), the PXRD pattern of Co3B7IO13 was calculated for CuKα.
Peak positions follow from Bragg's law for the DFT cell and can differ from measured ones.

The 8 most intense peaks (5° ≤ 2θ ≤ 70°), in order of falling intensity:
Position (°2θ)	I (rel.)	index
29.15	100.0	4 0 0
32.68	98.5	4 2 0
41.70	63.7	4 4 0
14.46	34.7	2 0 0
68.49	31.9	8 4 0
62.50	30.7	8 2 0
51.68	30.4	4 4 4
44.35	24.8	6 0 0

a b c (Å): 12.2540 12.2540 12.2540
angles (deg): 90.00 90.00 90.00
Space group F-43c (No. 219)
Asymmetric unit:
Co 0.0000 0.0000 0.2500 (multiplicity 24)
B 0.0000 0.2500 0.2500 (multiplicity 24)
B 0.1697 0.1697 0.1697 (multiplicity 32)
I 0.0000 0.0000 0.0000 (multiplicity 8)
O 0.0696 0.1536 0.2296 (multiplicity 96)
O 0.2500 0.2500 0.2500 (multiplicity 8)